1.
Simulated powder diffraction line list
Compound: NaPu2Au6
Radiation: copper Kα
Structure: a cell relaxed with PBE

Structure:
a b c (Å): 8.4284 8.4284 3.1350
angles (deg): 90.00 90.00 120.00
Fractional positions:
Na: 0.0000 0.0000 0.0000
Pu: 0.3333 0.6667 0.0000
Pu: 0.6667 0.3333 0.0000
Au: 0.0000 0.3319 0.5000
Au: 0.0000 0.6681 0.5000
Au: 0.3319 0.0000 0.5000
Au: 0.3319 0.3319 0.5000
Au: 0.6681 0.0000 0.5000
Au: 0.6681 0.6681 0.5000

Principal peaks in the range 2θ from 15° to 90°, low angle first:
2θ 35.70, I = 92, (1 1 1); 2θ 36.95, I = 100, (3 0 0); 2θ 47.29, I = 17, (3 0 1); 2θ 52.31, I = 31, (2 2 1); 2θ 65.76, I = 32, (4 1 1); 2θ 66.57, I = 18, (3 3 0); 2θ 71.61, I = 30, (3 0 2); 2θ 89.49, I = 15, (5 2 1)

***

2.
Simulated powder diffraction line list
Compound: Rb2Au2Br7
Radiation: copper Kα
Structure: a cell relaxed with PBE

Structure:
a b c (Å): 6.3506 17.4623 8.1954
angles (deg): 90.00 99.98 90.00
Fractional positions:
Rb: 0.2256 0.1241 0.3879
Rb: 0.2256 0.3759 0.8879
Rb: 0.7744 0.6241 0.1121
Rb: 0.7744 0.8759 0.6121
Au: 0.3060 0.5999 0.5970
Au: 0.3060 0.9001 0.0970
Au: 0.6940 0.0999 0.9030
Au: 0.6940 0.4001 0.4030
Br: 0.0000 0.0000 0.0000
Br: 0.0000 0.5000 0.5000
Br: 0.2602 0.5790 0.8899
Br: 0.2602 0.9210 0.3899
Br: 0.3146 0.6275 0.3016
Br: 0.3146 0.8725 0.8016
Br: 0.3547 0.1770 0.8125
Br: 0.3547 0.3230 0.3125
Br: 0.6453 0.6770 0.6875
Br: 0.6453 0.8230 0.1875
Br: 0.6854 0.1275 0.1984
Br: 0.6854 0.3725 0.6984
Br: 0.7398 0.0790 0.6101
Br: 0.7398 0.4210 0.1101

Principal peaks in the range 2θ from 15° to 90°, low angle first:
2θ 19.28, I = 81, (1 2 -1); 2θ 20.34, I = 92, (0 4 0); 2θ 20.85, I = 100, (1 3 0); 2θ 28.54, I = 44, (2 0 0); 2θ 32.25, I = 39, (1 5 1); 2θ 34.31, I = 67, (1 1 -3); 2θ 35.31, I = 46, (2 4 0); 2θ 38.85, I = 27, (1 7 0)